(1)
Diffraction record for LiCd4Au4. The X-ray powder pattern is computed, not measured: it uses a cell relaxed with GGA-PBE and CuKα.

Structure:
```
LiCd4Au4
1.0
-2.738 2.738 5.970
2.738 -2.738 5.970
2.738 2.738 -5.970
Li Cd Au
1 4 4
Cartesian
0.000 0.000 0.000 Li
1.663 1.663 -1.132 Cd
1.074 -1.074 7.102 Cd
1.074 1.074 4.838 Cd
-1.074 1.074 7.102 Cd
1.631 -1.631 3.988 Au
1.106 1.106 1.982 Au
-1.631 1.631 3.988 Au
1.631 1.631 7.952 Au
```

Most intense lines, 2θ from 15° to 90°, sorted by position:
| 2θ (°) | I (rel.) |
| --- | --- |
| 29.9 | 31 |
| 32.7 | 93 |
| 37.5 | 70 |
| 38.1 | 100 |
| 43.4 | 17 |
| 44.9 | 27 |
| 46.9 | 23 |
| 62.0 | 21 |
| 67.2 | 25 |
| 71.5 | 28 |

***

(2)
Diffraction record for LiMgCdAu2. The X-ray powder pattern is computed, not measured: it uses a cell relaxed with GGA-PBE and CuKα.

Structure:
```
LiMgCdAu2
1.0
6.616 0.000 0.000
0.000 4.021 0.000
-0.258 0.000 6.787
Li Mg Cd Au
2 2 2 4
Cartesian
1.073 1.005 0.413 Li
5.284 3.016 6.374 Li
1.460 3.016 5.225 Mg
4.898 1.005 1.563 Mg
2.056 1.005 3.023 Cd
4.302 3.016 3.764 Cd
0.114 3.016 2.091 Au
2.926 3.016 1.008 Au
3.432 1.005 5.780 Au
6.244 1.005 4.696 Au
```

Most intense lines, 2θ from 15° to 90°, sorted by position:
| 2θ (°) | I (rel.) |
| --- | --- |
| 19.1 | 37 |
| 25.8 | 58 |
| 27.0 | 21 |
| 29.4 | 16 |
| 37.3 | 100 |
| 37.6 | 71 |
| 41.7 | 27 |
| 43.7 | 23 |
| 45.1 | 26 |
| 63.1 | 16 |

***

(3)
Diffraction record for Li2Cd4PdAu. The X-ray powder pattern is computed, not measured: it uses a cell relaxed with GGA-PBE and CuKα.

Structure:
```
Li2Cd4PdAu
1.0
4.704 0.000 0.000
0.000 4.675 0.000
-0.039 0.000 6.601
Li Cd Pd Au
2 4 1 1
Cartesian
0.000 0.000 0.000 Li
2.332 2.337 3.300 Li
4.693 2.337 1.695 Cd
-0.029 2.337 4.905 Cd
2.339 0.000 1.705 Cd
2.326 0.000 4.896 Cd
-0.019 0.000 3.300 Pd
2.352 2.337 0.000 Au
```

Most intense lines, 2θ from 15° to 90°, sorted by position:
| 2θ (°) | I (rel.) |
| --- | --- |
| 23.2 | 18 |
| 23.3 | 54 |
| 38.3 | 34 |
| 38.4 | 67 |
| 38.6 | 100 |
| 45.4 | 15 |
| 45.5 | 12 |
| 55.4 | 23 |
| 69.2 | 11 |
| 69.7 | 22 |